1.
Theoretical powder diffractogram of Ti6BrCl12 for Cu Kα (λ = 1.5418 Å), from a structure optimized by DFT (PBE).

Cell and atoms:
Unit cell a=11.9739 b=11.9739 c=12.2117 alpha=90.00 beta=90.00 gamma=120.00
Space group R-3m (No. 166, hexagonal axes)
One atom of each set of equivalent atoms:
Ti  0.0787  0.1574  0.2814 x18
Br  0.0000  0.0000  0.5000 x3
Cl  0.0000  0.3686  0.0000 x18
Cl  0.0897  0.1794  0.8473 x18

Main lines, in order of rising 2θ (10° ≤ 2θ ≤ 90°):
| index | Position (°2θ) | intensity |
| --- | --- | --- |
| 1 1 0 | 14.8 | 55 |
| 0 1 2 | 16.9 | 100 |
| 2 0 2 | 22.5 | 31 |
| 2 1 1 | 23.8 | 23 |
| 1 1 3 | 26.5 | 42 |
| 3 0 3 | 34.0 | 61 |
| 3 1 2 | 34.5 | 77 |
| 4 0 1 | 35.4 | 22 |
| 1 4 3 | 45.9 | 48 |
| 5 0 2 | 46.2 | 37 |

***

2.
Theoretical powder diffractogram of TlOs8 for Cu Kα (λ = 1.5418 Å), from a structure optimized by DFT (PBE).

Cell and atoms:
Unit cell a=8.3514 b=8.3514 c=3.9246 alpha=90.00 beta=90.00 gamma=90.00
Space group I4/mmm (No. 139)
One atom of each set of equivalent atoms:
Tl  0.0000  0.0000  0.0000 x2
Os  0.0000  0.3454  0.0000 x8
Os  0.1792  0.1792  0.5000 x8

Main lines, in order of rising 2θ (10° ≤ 2θ ≤ 90°):
| index | Position (°2θ) | intensity |
| --- | --- | --- |
| 2 2 0 | 30.3 | 2 |
| 3 0 1 | 39.7 | 100 |
| 3 3 0 | 46.1 | 32 |
| 0 0 2 | 46.3 | 17 |
| 5 2 1 | 64.6 | 3 |
| 6 0 0 | 67.3 | 10 |
| 3 3 2 | 67.4 | 21 |
| 6 3 1 | 81.0 | 23 |
| 3 0 3 | 81.3 | 13 |
| 6 0 2 | 85.5 | 10 |